1.
The following is a simulated powder XRD pattern of Fe5O8. It was derived from DFT lattice parameters and positions (GGA+U), using λ = 1.5418 Å (Cu Kα).
Intensities are scaled so that the largest is 1000.

a = 8.420 Å, b = 8.420 Å, c = 8.420 Å
α = 90.00°, β = 90.00°, γ = 90.00°
Space group P4_332 (No. 212)
Inequivalent atoms, fractional coordinates:
Fe (0.003, 0.497, 0.503) x8
Fe (0.115, 0.625, 0.135) x12
O (0.106, 0.132, 0.868) x24
O (0.108, 0.608, 0.892) x8

Principal peaks in the range 2θ from 10° to 80°, sorted by position:
index	2θ (°)	d [Å]	Rel. int.
1 1 0	14.88	5.954	137
2 1 0	23.63	3.765	200
2 1 1	25.92	3.437	145
2 2 0	30.02	2.977	377
3 1 1	35.36	2.539	1000
4 0 0	42.97	2.105	148
4 2 2	53.30	1.719	137
5 1 1	56.82	1.620	307
4 4 0	62.39	1.488	431
5 3 3	73.80	1.284	97

2.
The following is a simulated powder XRD pattern of Fe3O4. It was derived from DFT lattice parameters and positions (GGA+U), using λ = 1.5418 Å (Cu Kα).
Intensities are scaled so that the largest is 1000.

a = 6.091 Å, b = 6.092 Å, c = 16.979 Å
α = 89.84°, β = 89.91°, γ = 89.80°
Space group P1 (No. 1)
Inequivalent atoms, fractional coordinates:
Fe (0.000, 0.000, 0.000) x1
Fe (0.000, 0.005, 0.501) x1
Fe (0.004, 0.497, 0.254) x1
Fe (0.250, 0.001, 0.811) x1
Fe (0.250, 0.745, 0.127) x1
Fe (0.251, 0.252, 0.128) x1
Fe (0.252, 0.500, 0.941) x1
Fe (0.253, 0.993, 0.314) x1
Fe (0.254, 0.506, 0.441) x1
Fe (0.255, 0.251, 0.626) x1
Fe (0.259, 0.752, 0.628) x1
Fe (0.500, 0.499, 0.751) x1
Fe (0.502, 0.498, 0.253) x1
Fe (0.503, 0.998, 0.001) x1
Fe (0.507, 0.006, 0.502) x1
Fe (0.748, 0.255, 0.873) x1
Fe (0.748, 0.744, 0.872) x1
Fe (0.752, 0.498, 0.066) x1
Fe (0.752, 0.998, 0.190) x1
Fe (0.753, 0.747, 0.378) x1
Fe (0.754, 0.248, 0.374) x1
Fe (0.755, 0.495, 0.568) x1
Fe (0.756, 0.001, 0.687) x1
Fe (0.996, 0.495, 0.749) x1
O (0.016, 0.999, 0.121) x1
O (0.030, 0.498, 0.126) x1
O (0.035, 0.010, 0.621) x1
O (0.036, 0.497, 0.631) x1
O (0.247, 0.260, 0.745) x1
O (0.249, 0.740, 0.748) x1
O (0.250, 0.746, 0.245) x1
O (0.251, 0.779, 0.006) x1
O (0.253, 0.219, 0.006) x1
O (0.253, 0.247, 0.247) x1
O (0.256, 0.237, 0.507) x1
O (0.256, 0.772, 0.507) x1
O (0.467, 0.491, 0.628) x1
O (0.472, 0.499, 0.127) x1
O (0.477, 0.005, 0.621) x1
O (0.488, 0.997, 0.122) x1
O (0.511, 0.991, 0.381) x1
O (0.514, 0.514, 0.378) x1
O (0.515, 0.000, 0.876) x1
O (0.527, 0.499, 0.872) x1
O (0.751, 0.223, 0.993) x1
O (0.752, 0.222, 0.498) x1
O (0.752, 0.774, 0.993) x1
O (0.753, 0.749, 0.258) x1
O (0.755, 0.252, 0.253) x1
O (0.755, 0.778, 0.498) x1
O (0.757, 0.270, 0.755) x1
O (0.758, 0.727, 0.753) x1
O (0.978, 0.500, 0.870) x1
O (0.986, 0.000, 0.877) x1
O (0.995, 0.516, 0.380) x1
O (0.999, 0.992, 0.383) x1

Principal peaks in the range 2θ from 10° to 80°, sorted by position:
index	2θ (°)	d [Å]	Rel. int.
1 0 2	17.92	4.949	302
2 0 0	29.32	3.046	294
1 1 -4	29.53	3.025	427
1 2 -2	34.53	2.597	1000
1 -2 2	34.62	2.591	1000
0 1 -6	34.96	2.566	991
3 2 -2	55.36	1.660	301
3 -2 2	55.55	1.654	297
4 0 0	60.82	1.523	461
-2 2 8	61.36	1.511	449

3.
The following is a simulated powder XRD pattern of Fe5O8. It was derived from DFT lattice parameters and positions (GGA+U), using λ = 1.5418 Å (Cu Kα).
Intensities are scaled so that the largest is 1000.

a = 8.503 Å, b = 8.503 Å, c = 8.503 Å
α = 90.00°, β = 90.00°, γ = 90.00°
Space group F-43m (No. 216)
Inequivalent atoms, fractional coordinates:
Fe (0.000, 0.000, 0.000) x4
Fe (0.121, 0.121, 0.621) x16
O (0.112, 0.112, 0.388) x16
O (0.133, 0.133, 0.867) x16

Principal peaks in the range 2θ from 10° to 80°, sorted by position:
index	2θ (°)	d [Å]	Rel. int.
1 1 1	18.07	4.909	667
2 0 0	20.89	4.252	220
2 2 0	29.72	3.006	120
3 1 1	35.00	2.564	1000
2 2 2	36.61	2.455	173
4 0 0	42.52	2.126	494
3 3 1	46.55	1.951	110
5 1 1	56.21	1.636	397
4 4 0	61.71	1.503	523
5 3 3	72.95	1.297	97

4.
The following is a simulated powder XRD pattern of Fe3O4. It was derived from DFT lattice parameters and positions (GGA+U), using λ = 1.5418 Å (Cu Kα).
Intensities are scaled so that the largest is 1000.

a = 6.051 Å, b = 6.063 Å, c = 10.460 Å
α = 106.29°, β = 90.15°, γ = 119.82°
Space group P1 (No. 1)
Inequivalent atoms, fractional coordinates:
Fe (0.000, 0.000, 0.000) x1
Fe (0.001, 0.000, 0.502) x1
Fe (0.063, 0.617, 0.688) x1
Fe (0.251, 0.997, 0.248) x1
Fe (0.440, 0.383, 0.814) x1
Fe (0.501, 0.999, 0.502) x1
Fe (0.502, 0.000, 0.000) x1
Fe (0.502, 0.503, 0.503) x1
Fe (0.564, 0.620, 0.189) x1
Fe (0.751, 0.002, 0.752) x1
Fe (0.939, 0.383, 0.314) x1
Fe (0.998, 0.494, 0.998) x1
O (0.121, 0.740, 0.881) x1
O (0.122, 0.262, 0.883) x1
O (0.124, 0.769, 0.377) x1
O (0.137, 0.241, 0.379) x1
O (0.360, 0.752, 0.131) x1
O (0.364, 0.248, 0.615) x1
O (0.369, 0.236, 0.133) x1
O (0.381, 0.741, 0.615) x1
O (0.604, 0.244, 0.377) x1
O (0.632, 0.763, 0.877) x1
O (0.639, 0.751, 0.385) x1
O (0.641, 0.263, 0.882) x1
O (0.868, 0.745, 0.613) x1
O (0.881, 0.234, 0.618) x1
O (0.881, 0.262, 0.123) x1
O (0.896, 0.753, 0.129) x1

Principal peaks in the range 2θ from 10° to 80°, sorted by position:
index	2θ (°)	d [Å]	Rel. int.
1 1 -1	29.44	3.034	220
1 -1 3	29.55	3.023	329
-1 1 3	34.56	2.595	587
2 -2 0	34.70	2.585	1000
2 -1 2	34.83	2.576	801
2 0 2	42.08	2.147	335
3 -1 3	55.79	1.648	189
0 2 4	60.78	1.524	185
2 2 -2	61.02	1.518	184
4 -2 0	61.29	1.513	359

5.
The following is a simulated powder XRD pattern of FeO. It was derived from DFT lattice parameters and positions (GGA+U), using λ = 1.5418 Å (Cu Kα).
Intensities are scaled so that the largest is 1000.

a = 3.155 Å, b = 5.350 Å, c = 5.353 Å
α = 100.13°, β = 106.31°, γ = 90.55°
Space group P1 (No. 1)
Inequivalent atoms, fractional coordinates:
Fe (0.000, 0.000, 0.000) x1
Fe (0.246, 0.750, 0.499) x1
Fe (0.502, 0.500, 0.000) x1
Fe (0.753, 0.249, 0.502) x1
O (0.140, 0.392, 0.250) x1
O (0.377, 0.104, 0.753) x1
O (0.623, 0.893, 0.248) x1
O (0.862, 0.605, 0.751) x1

Principal peaks in the range 2θ from 10° to 80°, sorted by position:
index	2θ (°)	d [Å]	Rel. int.
1 1 0	35.16	2.552	966
0 2 -1	35.45	2.532	481
0 0 2	35.57	2.524	466
1 -1 1	40.41	2.232	1000
1 1 -2	41.09	2.197	945
0 2 1	41.59	2.171	906
2 0 -1	58.53	1.577	291
1 -3 0	59.29	1.559	273
1 1 2	59.47	1.554	547
-1 1 3	59.97	1.543	268

6.
The following is a simulated powder XRD pattern of Fe3O4. It was derived from DFT lattice parameters and positions (GGA+U), using λ = 1.5418 Å (Cu Kα).
Intensities are scaled so that the largest is 1000.

a = 6.035 Å, b = 6.047 Å, c = 10.499 Å
α = 90.22°, β = 106.44°, γ = 119.77°
Space group P-1 (No. 2)
Inequivalent atoms, fractional coordinates:
Fe (0.000, 0.000, 0.000) x1
Fe (0.000, 0.000, 0.500) x1
Fe (0.000, 0.500, 0.000) x1
Fe (0.000, 0.500, 0.500) x1
Fe (0.004, 0.254, 0.249) x2
Fe (0.372, 0.433, 0.809) x2
Fe (0.376, 0.936, 0.310) x2
Fe (0.500, 0.000, 0.000) x1
Fe (0.500, 0.500, 0.500) x1
O (0.228, 0.120, 0.374) x2
O (0.231, 0.608, 0.371) x2
O (0.233, 0.878, 0.623) x2
O (0.240, 0.369, 0.132) x2
O (0.241, 0.358, 0.617) x2
O (0.254, 0.107, 0.876) x2
O (0.255, 0.647, 0.874) x2
O (0.255, 0.877, 0.116) x2

Principal peaks in the range 2θ from 10° to 80°, sorted by position:
index	2θ (°)	d [Å]	Rel. int.
1 0 2	29.43	3.035	278
1 -2 0	29.56	3.022	277
2 -1 1	34.68	2.587	1000
-1 2 2	34.77	2.580	669
2 -2 0	34.86	2.574	341
0 2 2	42.16	2.143	282
0 2 4	55.62	1.652	165
0 3 1	55.75	1.649	292
0 2 -6	61.12	1.516	306
2 -4 0	61.32	1.512	302

7.
The following is a simulated powder XRD pattern of Fe15O16. It was derived from DFT lattice parameters and positions (GGA+U), using λ = 1.5418 Å (Cu Kα).
Intensities are scaled so that the largest is 1000.

a = 6.2153 Å, b = 6.2153 Å, c = 30.8483 Å
α = 90.00°, β = 90.00°, γ = 120.00°
Space group R-3m (No. 166, hexagonal axes)
Inequivalent atoms, fractional coordinates:
Fe (0.0000, 0.0000, 0.0000) x3
Fe (0.0000, 0.0000, 0.1798) x6
Fe (0.0000, 0.0000, 0.2586) x6
Fe (0.0000, 0.0000, 0.5000) x3
Fe (0.0000, 0.5000, 0.0000) x9
Fe (0.0016, 0.5008, 0.7516) x18
O (0.0000, 0.0000, 0.1187) x6
O (0.0000, 0.0000, 0.3754) x6
O (0.0007, 0.5003, 0.3736) x18
O (0.0086, 0.5043, 0.8758) x18

Principal peaks in the range 2θ from 10° to 80°, sorted by position:
index	2θ (°)	d [Å]	Rel. int.
1 1 3	30.04	2.975	132
0 2 1	33.44	2.680	151
2 0 2	33.81	2.651	134
0 0 12	34.90	2.571	193
0 2 4	35.32	2.541	431
1 1 9	39.15	2.301	166
2 0 8	40.89	2.207	1000
0 2 16	58.93	1.567	402
2 2 0	59.49	1.554	458
2 2 12	70.86	1.330	151

8.
The following is a simulated powder XRD pattern of Fe3O4. It was derived from DFT lattice parameters and positions (GGA+U), using λ = 1.5418 Å (Cu Kα).
Intensities are scaled so that the largest is 1000.

a = 6.097 Å, b = 6.045 Å, c = 8.576 Å
α = 90.00°, β = 90.00°, γ = 90.00°
Space group Pmma (No. 51)
Inequivalent atoms, fractional coordinates:
Fe (0.000, 0.000, 0.000) x2
Fe (0.000, 0.500, 0.500) x2
Fe (0.250, 0.000, 0.373) x2
Fe (0.250, 0.258, 0.746) x4
Fe (0.250, 0.500, 0.122) x2
O (0.009, 0.000, 0.763) x4
O (0.010, 0.500, 0.754) x4
O (0.250, 0.230, 0.993) x4
O (0.250, 0.252, 0.508) x4

Principal peaks in the range 2θ from 10° to 80°, sorted by position:
index	2θ (°)	d [Å]	Rel. int.
1 1 2	29.44	3.034	372
2 1 1	34.60	2.592	987
1 2 1	34.73	2.583	1000
2 2 0	42.11	2.146	417
1 3 2	52.35	1.748	96
3 2 1	55.52	1.655	244
1 0 5	55.70	1.650	359
4 0 0	60.76	1.524	156
2 2 4	61.09	1.517	603
0 4 0	61.34	1.511	148

9.
The following is a simulated powder XRD pattern of Fe3O4. It was derived from DFT lattice parameters and positions (GGA+U), using λ = 1.5418 Å (Cu Kα).
Intensities are scaled so that the largest is 1000.

a = 5.143 Å, b = 3.059 Å, c = 5.226 Å
α = 90.00°, β = 105.12°, γ = 90.00°
Space group P2/m (No. 10)
Inequivalent atoms, fractional coordinates:
Fe (0.000, 0.000, 0.000) x1
Fe (0.000, 0.500, 0.500) x1
Fe (0.500, 0.000, 0.500) x1
O (0.213, 0.000, 0.718) x2
O (0.263, 0.500, 0.276) x2

Principal peaks in the range 2θ from 10° to 80°, sorted by position:
index	2θ (°)	d [Å]	Rel. int.
0 0 1	17.58	5.045	434
1 0 0	17.87	4.965	335
1 0 -1	21.59	4.116	177
0 0 2	35.59	2.522	180
2 0 0	36.19	2.482	172
1 1 -1	36.60	2.455	311
1 1 1	41.13	2.195	1000
2 0 -2	44.00	2.058	414
1 1 -3	61.40	1.510	256
3 1 -1	62.19	1.493	246